This entry pairs a crystal structure of Zr5Sb3 with its calculated powder diffractogram. Radiation: copper Kα. Structure: the GGA-PBE geometry in the Materials Project.
No peak broadening, texture or thermal motion is included.

Structure:
```
data_Zr5Sb3
_chemical_formula_sum 'Zr20 Sb12'
_space_group_name_H-M_alt 'P n m a'
_space_group_IT_number 62
_cell_length_a 10.8670
_cell_length_b 8.8892
_cell_length_c 7.6149
_cell_angle_alpha 90.00
_cell_angle_beta 90.00
_cell_angle_gamma 90.00
loop_
_space_group_symop_operation_xyz
'x,y,z'
'-x,-y,-z'
'-x+1/2,-y,z+1/2'
'x+1/2,y,-z+1/2'
'x+1/2,-y+1/2,-z+1/2'
'-x+1/2,y+1/2,z+1/2'
'-x,y+1/2,-z'
'x,-y+1/2,z'
loop_
_atom_site_label
_atom_site_fract_x
_atom_site_fract_y
_atom_site_fract_z
Zr1 0.0032 0.2500 0.0259
Zr2 0.0527 0.0566 0.6990
Zr3 0.2129 0.7500 0.3276
Zr4 0.2320 0.2500 0.3207
Sb1 0.0273 0.7500 0.5906
Sb2 0.1782 0.5076 0.0665
```

Top 10 peaks for 2θ from 15° to 90°, sorted by position:
2θ = 27.26°, rel. 15
2θ = 32.03°, rel. 48
2θ = 32.42°, rel. 15
2θ = 34.03°, rel. 33
2θ = 35.13°, rel. 100
2θ = 36.35°, rel. 16
2θ = 36.51°, rel. 13
2θ = 38.85°, rel. 17
2θ = 40.57°, rel. 38
2θ = 44.35°, rel. 15

***

This entry pairs a crystal structure of CrC with its calculated powder diffractogram. Radiation: copper Kα. Structure: the GGA-PBE geometry in the Materials Project.
No peak broadening, texture or thermal motion is included.

Structure:
```
data_CrC
_chemical_formula_sum 'Cr4 C4'
_space_group_name_H-M_alt 'F m -3 m'
_space_group_IT_number 225
_space_group_name_Hall '-F 4 2 3'
_cell_length_a 4.1081
_cell_length_b 4.1081
_cell_length_c 4.1081
_cell_angle_alpha 90.00
_cell_angle_beta 90.00
_cell_angle_gamma 90.00
loop_
_atom_site_label
_atom_site_fract_x
_atom_site_fract_y
_atom_site_fract_z
Cr1 0.0000 0.0000 0.0000
C1 0.0000 0.0000 0.5000
```

Top 5 peaks for 2θ from 15° to 90°, sorted by position:
2θ = 37.94°, rel. 100
2θ = 44.09°, rel. 100
2θ = 64.12°, rel. 55
2θ = 76.98°, rel. 32
2θ = 81.09°, rel. 18

***

This entry pairs a crystal structure of ZrTe7SeCl6 with its calculated powder diffractogram. Radiation: copper Kα. Structure: the GGA-PBE geometry in the Materials Project.
No peak broadening, texture or thermal motion is included.

Structure:
```
data_ZrTe7SeCl6
_chemical_formula_sum 'Zr4 Te28 Se4 Cl24'
_space_group_name_H-M_alt 'P 1 21/c 1'
_space_group_IT_number 14
_cell_length_a 11.7779
_cell_length_b 11.9851
_cell_length_c 15.6793
_cell_angle_alpha 90.00
_cell_angle_beta 110.28
_cell_angle_gamma 90.00
loop_
_space_group_symop_operation_xyz
'x,y,z'
'-x,-y,-z'
'-x,y+1/2,-z+1/2'
'x,-y+1/2,z+1/2'
loop_
_atom_site_label
_atom_site_fract_x
_atom_site_fract_y
_atom_site_fract_z
Zr1 0.2059 0.2148 0.0990
Te1 0.1258 0.6605 0.8019
Te2 0.1553 0.7130 0.1631
Te3 0.1973 0.6490 0.4490
Te4 0.2683 0.0148 0.8511
Te5 0.3466 0.5501 0.8574
Te6 0.3531 0.5631 0.0357
Te7 0.3782 0.6321 0.2686
Se1 0.4066 0.7278 0.5348
Cl1 0.0705 0.1177 0.9587
Cl2 0.0732 0.1211 0.5701
Cl3 0.0864 0.1392 0.1915
Cl4 0.3135 0.2054 0.5023
Cl5 0.3336 0.0408 0.1338
Cl6 0.3586 0.1990 0.7355
```

Top 10 peaks for 2θ from 15° to 90°, sorted by position:
2θ = 16.04°, rel. 100
2θ = 18.00°, rel. 50
2θ = 22.33°, rel. 72
2θ = 22.64°, rel. 56
2θ = 28.45°, rel. 69
2θ = 29.83°, rel. 57
2θ = 32.72°, rel. 44
2θ = 33.55°, rel. 57
2θ = 34.52°, rel. 48
2θ = 46.99°, rel. 56

***

This entry pairs a crystal structure of VSiW with its calculated powder diffractogram. Radiation: copper Kα. Structure: the GGA-PBE geometry in the Materials Project.
No peak broadening, texture or thermal motion is included.

Structure:
```
data_VSiW
_chemical_formula_sum 'V8 Si8 W8'
_space_group_name_H-M_alt 'A m m 2'
_space_group_IT_number 38
_cell_length_a 8.1496
_cell_length_b 4.8967
_cell_length_c 8.2582
_cell_angle_alpha 90.00
_cell_angle_beta 90.00
_cell_angle_gamma 90.00
loop_
_space_group_symop_operation_xyz
'x,y,z'
'-x,-y,z'
'-x,y,z'
'x,-y,z'
'x,y+1/2,z+1/2'
'-x,-y+1/2,z+1/2'
'-x,y+1/2,z+1/2'
'x,-y+1/2,z+1/2'
loop_
_atom_site_label
_atom_site_fract_x
_atom_site_fract_y
_atom_site_fract_z
V1 0.0000 0.0000 0.0000
V2 0.0000 0.2446 0.2420
V3 0.5000 0.0000 0.6706
Si1 0.2465 0.0000 0.8260
Si2 0.5000 0.2424 0.4213
W1 0.1896 0.0000 0.4934
W2 0.3122 0.0000 0.1718
```

Top 10 peaks for 2θ from 15° to 90°, sorted by position:
2θ = 21.09°, rel. 44
2θ = 30.52°, rel. 33
2θ = 36.71°, rel. 38
2θ = 37.48°, rel. 63
2θ = 39.47°, rel. 100
2θ = 39.72°, rel. 49
2θ = 43.10°, rel. 37
2θ = 43.79°, rel. 93
2θ = 44.43°, rel. 42
2θ = 73.46°, rel. 27

***

This entry pairs a crystal structure of Sr11Cd6Sb12 with its calculated powder diffractogram. Radiation: copper Kα. Structure: the GGA-PBE geometry in the Materials Project.
No peak broadening, texture or thermal motion is included.

Structure:
```
data_Sr11Cd6Sb12
_chemical_formula_sum 'Sr22 Cd12 Sb24'
_space_group_name_H-M_alt 'C 1 2/m 1'
_space_group_IT_number 12
_cell_length_a 33.3627
_cell_length_b 4.8305
_cell_length_c 12.7622
_cell_angle_alpha 90.00
_cell_angle_beta 109.92
_cell_angle_gamma 90.00
loop_
_space_group_symop_operation_xyz
'x,y,z'
'-x,-y,-z'
'-x,y,-z'
'x,-y,z'
'x+1/2,y+1/2,z'
'-x+1/2,-y+1/2,-z'
'-x+1/2,y+1/2,-z'
'x+1/2,-y+1/2,z'
loop_
_atom_site_label
_atom_site_fract_x
_atom_site_fract_y
_atom_site_fract_z
Sr1 0.0000 0.0000 0.0000
Sr2 0.0190 0.0000 0.6811
Sr3 0.1136 0.0000 0.5061
Sr4 0.1262 0.0000 0.0155
Sr5 0.2006 0.0000 0.3431
Sr6 0.2219 0.5000 0.8668
Cd1 0.0475 0.5000 0.2448
Cd2 0.1004 0.5000 0.7451
Cd3 0.2191 0.0000 0.6666
Sb1 0.0430 0.5000 0.5004
Sb2 0.0466 0.5000 0.8844
Sb3 0.0901 0.0000 0.2327
Sb4 0.1500 0.0000 0.7836
Sb5 0.1908 0.5000 0.5296
Sb6 0.2048 0.5000 0.1348
```

Top 10 peaks for 2θ from 15° to 90°, sorted by position:
2θ = 27.14°, rel. 38
2θ = 27.99°, rel. 39
2θ = 28.34°, rel. 57
2θ = 28.74°, rel. 81
2θ = 29.94°, rel. 38
2θ = 30.20°, rel. 50
2θ = 30.42°, rel. 40
2θ = 31.03°, rel. 31
2θ = 37.22°, rel. 100
2θ = 39.61°, rel. 40

***

This entry pairs a crystal structure of GdAl8Cr4 with its calculated powder diffractogram. Radiation: copper Kα. Structure: the GGA-PBE geometry in the Materials Project.
No peak broadening, texture or thermal motion is included.

Structure:
```
data_GdAl8Cr4
_chemical_formula_sum 'Gd2 Al16 Cr8'
_space_group_name_H-M_alt 'I 4/m m m'
_space_group_IT_number 139
_space_group_name_Hall '-I 4 2'
_cell_length_a 8.9523
_cell_length_b 8.9523
_cell_length_c 5.0436
_cell_angle_alpha 90.00
_cell_angle_beta 90.00
_cell_angle_gamma 90.00
loop_
_atom_site_label
_atom_site_fract_x
_atom_site_fract_y
_atom_site_fract_z
Gd1 0.0000 0.0000 0.0000
Al1 0.0000 0.2226 0.5000
Al2 0.0000 0.3382 0.0000
Cr1 0.2500 0.2500 0.2500
```

Top 10 peaks for 2θ from 15° to 90°, sorted by position:
2θ = 20.21°, rel. 51
2θ = 28.19°, rel. 42
2θ = 28.46°, rel. 69
2θ = 31.60°, rel. 34
2θ = 34.94°, rel. 54
2θ = 40.30°, rel. 77
2θ = 40.49°, rel. 89
2θ = 41.08°, rel. 100
2θ = 58.90°, rel. 36
2θ = 73.79°, rel. 25

***

This entry pairs a crystal structure of DyTlTe2 with its calculated powder diffractogram. Radiation: copper Kα. Structure: the GGA-PBE geometry in the Materials Project.
No peak broadening, texture or thermal motion is included.

Structure:
```
data_DyTlTe2
_chemical_formula_sum 'Dy3 Tl3 Te6'
_space_group_name_H-M_alt 'R -3 m'
_space_group_IT_number 166
_space_group_name_Hall '-R 3 2"'
_cell_length_a 4.4471
_cell_length_b 4.4471
_cell_length_c 24.7275
_cell_angle_alpha 90.00
_cell_angle_beta 90.00
_cell_angle_gamma 120.00
loop_
_atom_site_label
_atom_site_fract_x
_atom_site_fract_y
_atom_site_fract_z
Dy1 0.0000 0.0000 0.0000
Tl1 0.0000 0.0000 0.5000
Te1 0.0000 0.0000 0.2624
```

Top 10 peaks for 2θ from 15° to 90°, sorted by position:
2θ = 27.28°, rel. 100
2θ = 37.30°, rel. 39
2θ = 40.57°, rel. 36
2θ = 43.94°, rel. 7
2θ = 49.58°, rel. 20
2θ = 56.29°, rel. 12
2θ = 61.34°, rel. 15
2θ = 65.92°, rel. 17
2θ = 71.66°, rel. 12
2θ = 73.81°, rel. 6

***

This entry pairs a crystal structure of Ti4Al11Zn with its calculated powder diffractogram. Radiation: copper Kα. Structure: the GGA-PBE geometry in the Materials Project.
No peak broadening, texture or thermal motion is included.

Structure:
```
data_Ti4Al11Zn
_chemical_formula_sum 'Ti4 Al11 Zn1'
_space_group_name_H-M_alt 'P 4 m m'
_space_group_IT_number 99
_cell_length_a 3.9029
_cell_length_b 3.9029
_cell_length_c 16.6138
_cell_angle_alpha 90.00
_cell_angle_beta 90.00
_cell_angle_gamma 90.00
loop_
_space_group_symop_operation_xyz
'x,y,z'
'-y,x,z'
'-x,-y,z'
'y,-x,z'
'-x,y,z'
'y,x,z'
'x,-y,z'
'-y,-x,z'
loop_
_atom_site_label
_atom_site_fract_x
_atom_site_fract_y
_atom_site_fract_z
Ti1 0.0000 0.0000 0.0000
Ti2 0.0000 0.0000 0.2359
Ti3 0.5000 0.5000 0.4994
Ti4 0.5000 0.5000 0.7360
Al1 0.0000 0.0000 0.4930
Al2 0.0000 0.5000 0.1176
Al3 0.0000 0.5000 0.3673
Al4 0.0000 0.5000 0.6193
Al5 0.0000 0.5000 0.8651
Al6 0.5000 0.5000 0.2421
Al7 0.5000 0.5000 0.9903
Zn1 0.0000 0.0000 0.7405
```

Top 10 peaks for 2θ from 15° to 90°, sorted by position:
2θ = 21.39°, rel. 6
2θ = 32.44°, rel. 4
2θ = 39.19°, rel. 100
2θ = 43.58°, rel. 18
2θ = 46.53°, rel. 31
2θ = 65.65°, rel. 20
2θ = 67.93°, rel. 9
2θ = 77.07°, rel. 11
2θ = 81.33°, rel. 21
2θ = 84.25°, rel. 9